Structure and theoretical powder XRD pattern of SiPtW (a structure optimized by DFT (GGA-PBE); copper Kα).
Peak positions follow from Bragg's law for the DFT cell and can differ from measured ones.

Unit cell a=4.2435 b=4.2435 c=2.8598 alpha=90.00 beta=90.00 gamma=120.00
Space group P-6m2 (No. 187)
Inequivalent atoms, fractional coordinates:
Si 0.0000 0.0000 0.0000 [1 per cell]
Pt 0.3333 0.6667 0.0000 [1 per cell]
W 0.6667 0.3333 0.5000 [1 per cell]

The 10 most intense peaks (2θ = 15–90°), in order of falling intensity:
hkl	Position (°2θ)	d [Å]	I/Imax
1 0 1	39.95	2.257	100
1 1 0	42.61	2.122	64
1 0 0	24.22	3.675	43
2 0 1	59.83	1.546	31
2 1 1	76.20	1.249	31
1 1 2	81.11	1.186	20
3 0 0	78.00	1.225	11
2 0 0	49.61	1.838	7
0 0 2	65.25	1.430	6
2 1 0	67.42	1.389	5